Entry 1:
Simulated powder diffraction line list of Li15ZnIn4 for Cu Kα, 1.54184 Å, from DFT lattice parameters and positions (GGA-PBE).
Lines closer than 0.1° are merged.

Unit cell a=4.104 b=4.104 c=21.900 alpha=90.00 beta=90.00 gamma=90.00
Atoms (fractional coordinates):
Li (0.000, 0.000, 0.000)
Li (0.000, 0.000, 0.192)
Li (0.000, 0.000, 0.397)
Li (0.000, 0.000, 0.603)
Li (0.000, 0.000, 0.808)
Li (0.000, 0.500, 0.092)
Li (0.000, 0.500, 0.294)
Li (0.000, 0.500, 0.500)
Li (0.000, 0.500, 0.706)
Li (0.000, 0.500, 0.908)
Li (0.500, 0.000, 0.092)
Li (0.500, 0.000, 0.294)
Li (0.500, 0.000, 0.500)
Li (0.500, 0.000, 0.706)
Li (0.500, 0.000, 0.908)
Zn (0.500, 0.500, 0.000)
In (0.500, 0.500, 0.193)
In (0.500, 0.500, 0.396)
In (0.500, 0.500, 0.604)
In (0.500, 0.500, 0.807)

Principal peaks in the range 10° ≤ 2θ ≤ 80°, most intense first:
- 4.104 Å, 2θ = 21.65°, I 100
- 2.995 Å, 2θ = 29.83°, I 88
- 2.419 Å, 2θ = 37.16°, I 70
- 4.380 Å, 2θ = 20.28°, I 57
- 2.902 Å, 2θ = 30.81°, I 42
- 1.693 Å, 2θ = 54.18°, I 32
- 1.932 Å, 2θ = 47.03°, I 23
- 2.052 Å, 2θ = 44.13°, I 22
- 1.858 Å, 2θ = 49.02°, I 22
- 1.835 Å, 2θ = 49.67°, I 21

Entry 2:
Simulated powder diffraction line list of Li3ZnIn3 for Cu Kα, 1.54184 Å, from DFT lattice parameters and positions (GGA-PBE).
Lines closer than 0.1° are merged.

Unit cell a=6.622 b=6.622 c=6.254 alpha=90.00 beta=90.00 gamma=91.50
Atoms (fractional coordinates):
Li (0.000, 0.000, 0.229)
Li (0.000, 0.000, 0.771)
Li (0.000, 0.500, 0.234)
Li (0.000, 0.500, 0.766)
Li (0.500, 0.000, 0.234)
Li (0.500, 0.000, 0.766)
Zn (0.258, 0.742, 0.000)
Zn (0.742, 0.258, 0.000)
In (0.261, 0.739, 0.500)
In (0.271, 0.271, 0.500)
In (0.314, 0.314, 0.000)
In (0.686, 0.686, 0.000)
In (0.729, 0.729, 0.500)
In (0.739, 0.261, 0.500)

Principal peaks in the range 10° ≤ 2θ ≤ 80°, most intense first:
- 3.310 Å, 2θ = 26.94°, I 100
- 2.273 Å, 2θ = 39.65°, I 83
- 3.127 Å, 2θ = 28.54°, I 53
- 2.372 Å, 2θ = 37.94°, I 28
- 1.890 Å, 2θ = 48.15°, I 24
- 2.928 Å, 2θ = 30.53°, I 18
- 6.620 Å, 2θ = 13.38°, I 17
- 1.414 Å, 2θ = 66.09°, I 15
- 1.350 Å, 2θ = 69.68°, I 14
- 2.310 Å, 2θ = 38.98°, I 13

Entry 3:
Simulated powder diffraction line list of LiZnIn2 for Cu Kα, 1.54184 Å, from DFT lattice parameters and positions (GGA-PBE).
Lines closer than 0.1° are merged.

Unit cell a=6.081 b=6.029 c=5.394 alpha=90.00 beta=123.62 gamma=90.00
Atoms (fractional coordinates):
Li (0.000, 0.000, 0.000)
Li (0.500, 0.500, 0.000)
Zn (0.000, 0.750, 0.500)
Zn (0.500, 0.250, 0.500)
In (0.000, 0.249, 0.500)
In (0.000, 0.500, 0.000)
In (0.500, 0.000, 0.000)
In (0.500, 0.749, 0.500)

Principal peaks in the range 10° ≤ 2θ ≤ 80°, most intense first:
- 2.503 Å, 2θ = 35.87°, I 100
- 2.141 Å, 2θ = 42.22°, I 42
- 2.532 Å, 2θ = 35.45°, I 34
- 3.878 Å, 2θ = 22.94°, I 32
- 3.852 Å, 2θ = 23.09°, I 32
- 2.246 Å, 2θ = 40.15°, I 24
- 1.295 Å, 2θ = 73.05°, I 16
- 1.556 Å, 2θ = 59.40°, I 15
- 1.543 Å, 2θ = 59.95°, I 14
- 1.252 Å, 2θ = 76.04°, I 10